Calculated powder diffractogram of Ac2CeOs2N6 for Cu Kα (λ = 1.5418 Å), from a cell relaxed with PBE.
Peak positions follow from Bragg's law for the DFT cell and can differ from measured ones.

Atomic structure:
a b c (Å): 7.0638 7.0638 7.0638
angles (deg): 49.10 49.10 49.10
Fractional positions:
Ac: 0.2130 0.2130 0.2130
Ac: 0.7870 0.7870 0.7870
Ce: 0.0000 0.0000 0.0000
Os: 0.3989 0.3989 0.3989
Os: 0.6011 0.6011 0.6011
N: 0.2303 0.7432 0.7432
N: 0.2568 0.2568 0.7697
N: 0.2568 0.7697 0.2568
N: 0.7432 0.2303 0.7432
N: 0.7432 0.7432 0.2303
N: 0.7697 0.2568 0.2568

Largest 10 diffraction maxima, low angle first, 10 to 90 degrees two-theta:
29.77°, I 100.0; 30.46°, I 98.6; 43.11°, I 40.3; 52.40°, I 17.9; 53.70°, I 40.2; 54.13°, I 20.4; 63.38°, I 15.1; 70.48°, I 14.7; 71.58°, I 17.1; 88.05°, I 11.0

Calculated powder diffractogram of Pm10HoSc4 for Cu Kα (λ = 1.5418 Å), from a cell relaxed with PBE.
Peak positions follow from Bragg's law for the DFT cell and can differ from measured ones.

Atomic structure:
a b c (Å): 8.9014 8.9014 8.9014
angles (deg): 102.44 102.44 124.70
Fractional positions:
Pm: 0.0343 0.9209 0.3426
Pm: 0.0791 0.4217 0.1134
Pm: 0.2500 0.7500 0.5000
Pm: 0.3083 0.9657 0.8866
Pm: 0.4217 0.3083 0.3426
Pm: 0.5783 0.6917 0.6574
Pm: 0.6917 0.0343 0.1134
Pm: 0.7500 0.2500 0.5000
Pm: 0.9209 0.5783 0.8866
Pm: 0.9657 0.0791 0.6574
Ho: 0.0000 0.0000 0.0000
Sc: 0.2872 0.5651 0.8523
Sc: 0.4349 0.2872 0.7221
Sc: 0.5651 0.7128 0.2779
Sc: 0.7128 0.4349 0.1477

Largest 10 diffraction maxima, low angle first, 10 to 90 degrees two-theta:
13.34°, I 27.2; 21.51°, I 30.0; 24.32°, I 20.5; 25.26°, I 79.3; 30.87°, I 28.9; 33.41°, I 100.0; 36.02°, I 59.1; 37.30°, I 39.3; 42.34°, I 25.3; 63.14°, I 29.6

Calculated powder diffractogram of KCePdSe2 for Cu Kα (λ = 1.5418 Å), from a cell relaxed with PBE.
Peak positions follow from Bragg's law for the DFT cell and can differ from measured ones.

Atomic structure:
a b c (Å): 8.0767 4.7856 8.0257
angles (deg): 90.00 100.67 90.00
Fractional positions:
K: 0.0000 0.1812 0.2500
K: 0.0000 0.8188 0.7500
Ce: 0.5000 0.4764 0.7500
Ce: 0.5000 0.5236 0.2500
Pd: 0.5000 0.0000 0.0000
Pd: 0.5000 0.0000 0.5000
Se: 0.2505 0.3095 0.9629
Se: 0.2505 0.6905 0.4629
Se: 0.7495 0.3095 0.5371
Se: 0.7495 0.6905 0.0371

Largest 10 diffraction maxima, low angle first, 10 to 90 degrees two-theta:
11.15°, I 100.0; 25.43°, I 29.9; 29.35°, I 15.5; 29.90°, I 28.0; 32.99°, I 31.5; 34.48°, I 25.6; 39.33°, I 18.1; 39.82°, I 17.2; 41.92°, I 15.7; 44.21°, I 19.6

Calculated powder diffractogram of Na2PaF6 for Cu Kα (λ = 1.5418 Å), from a cell relaxed with PBE.
Peak positions follow from Bragg's law for the DFT cell and can differ from measured ones.

Atomic structure:
a b c (Å): 5.3124 5.3124 10.7409
angles (deg): 90.00 90.00 90.00
Fractional positions:
Na: 0.0000 0.0000 0.1643
Na: 0.0000 0.0000 0.8357
Na: 0.5000 0.5000 0.3357
Na: 0.5000 0.5000 0.6643
Pa: 0.0000 0.0000 0.5000
Pa: 0.5000 0.5000 0.0000
F: 0.1924 0.1924 0.3442
F: 0.1924 0.1924 0.6558
F: 0.2049 0.2049 0.0000
F: 0.2951 0.7049 0.5000
F: 0.3076 0.6924 0.1558
F: 0.3076 0.6924 0.8442
F: 0.6924 0.3076 0.1558
F: 0.6924 0.3076 0.8442
F: 0.7049 0.2951 0.5000
F: 0.7951 0.7951 0.0000
F: 0.8076 0.8076 0.3442
F: 0.8076 0.8076 0.6558

Largest 10 diffraction maxima, low angle first, 10 to 90 degrees two-theta:
16.51°, I 35.3; 18.63°, I 100.0; 23.69°, I 57.5; 29.01°, I 33.7; 30.10°, I 41.9; 37.79°, I 17.3; 38.82°, I 30.6; 41.33°, I 12.5; 45.84°, I 44.3; 58.12°, I 15.3